Calculated powder XRD pattern of ErThBe17 for Cu Kα X-rays, from a GGA-PBE-relaxed structure.

Crystal structure
```
data_ErThBe17
_cell_length_a 7.8079
_cell_length_b 7.8079
_cell_length_c 11.4182
_cell_angle_alpha 90.00
_cell_angle_beta 90.00
_cell_angle_gamma 120.00
_space_group_name_H-M_alt 'R 3 m'
_space_group_IT_number 160
_space_group_name_Hall 'R 3 -2"'
loop_
_atom_site_label
_atom_site_type_symbol
_atom_site_fract_x
_atom_site_fract_y
_atom_site_fract_z
_atom_site_occupancy
Er1 Er 0.0000 0.0000 0.0000 1
Th1 Th 0.0000 0.0000 0.3213 1
Be1 Be 0.0000 0.0000 0.5687 1
Be2 Be 0.0000 0.0000 0.7569 1
Be3 Be 0.0016 0.2754 0.6620 1
Be4 Be 0.0079 0.5039 0.4976 1
Be5 Be 0.1676 0.3352 0.4960 1
Be6 Be 0.1685 0.3370 0.1567 1
```

Largest 8 diffraction maxima, in order of falling intensity, 2θ = 15–90°:
h k l, Position (°2θ), I/Imax
1 1 0, 22.8, 100
1 1 3, 32.9, 91
1 0 1, 15.2, 66
3 0 3, 46.8, 41
4 1 3, 68.2, 31
0 0 3, 23.4, 31
3 0 0, 40.0, 29
0 1 2, 20.4, 26

Calculated powder XRD pattern of KCu2NiS4 for Cu Kα X-rays, from a GGA-PBE-relaxed structure.

Crystal structure
```
data_KCu2NiS4
_cell_length_a 5.6329
_cell_length_b 5.6329
_cell_length_c 10.3868
_cell_angle_alpha 90.00
_cell_angle_beta 90.00
_cell_angle_gamma 90.00
_space_group_name_H-M_alt 'I -4 2 m'
_space_group_IT_number 121
_space_group_name_Hall 'I -4 2'
loop_
_atom_site_label
_atom_site_type_symbol
_atom_site_fract_x
_atom_site_fract_y
_atom_site_fract_z
_atom_site_occupancy
K1 K 0.0000 0.0000 0.0000 1
Cu1 Cu 0.0000 0.5000 0.2500 1
Ni1 Ni 0.0000 0.0000 0.5000 1
S1 S 0.1797 0.1797 0.3440 1
```

Largest 8 diffraction maxima, in order of falling intensity, 2θ = 15–90°:
h k l, Position (°2θ), I/Imax
1 1 2, 28.2, 100
3 1 2, 54.5, 31
2 0 4, 47.6, 31
2 2 0, 45.5, 17
1 0 1, 17.9, 15
2 0 0, 31.8, 14
1 1 6, 58.1, 13
0 0 2, 17.1, 9

Calculated powder XRD pattern of NpCuAgI6 for Cu Kα X-rays, from a GGA-PBE-relaxed structure.

Crystal structure
```
data_NpCuAgI6
_cell_length_a 7.2316
_cell_length_b 7.2316
_cell_length_c 12.8175
_cell_angle_alpha 90.00
_cell_angle_beta 90.00
_cell_angle_gamma 90.00
_space_group_name_H-M_alt 'P 42 n m'
_space_group_IT_number 102
_space_group_name_Hall 'P 4n -2n'
loop_
_atom_site_label
_atom_site_type_symbol
_atom_site_fract_x
_atom_site_fract_y
_atom_site_fract_z
_atom_site_occupancy
Np1 Np 0.0000 0.0000 0.0000 1
Cu1 Cu 0.0000 0.0000 0.6998 1
Ag1 Ag 0.0000 0.0000 0.3215 1
I1 I 0.2009 0.2009 0.8264 1
I2 I 0.2025 0.2025 0.5021 1
I3 I 0.2138 0.2138 0.1624 1
```

Largest 8 diffraction maxima, in order of falling intensity, 2θ = 15–90°:
h k l, Position (°2θ), I/Imax
1 1 3, 27.2, 100
2 1 3, 34.8, 71
1 1 0, 17.3, 67
3 0 3, 43.1, 54
2 2 0, 35.1, 48
2 1 0, 27.6, 29
5 2 3, 74.0, 25
3 1 3, 45.0, 24

Calculated powder XRD pattern of La2SiPt5 for Cu Kα X-rays, from a GGA-PBE-relaxed structure.

Crystal structure
```
data_La2SiPt5
_cell_length_a 5.7179
_cell_length_b 6.5007
_cell_length_c 9.3107
_cell_angle_alpha 90.00
_cell_angle_beta 90.00
_cell_angle_gamma 90.00
_space_group_name_H-M_alt 'I m m 2'
_space_group_IT_number 44
_space_group_name_Hall 'I 2 -2'
loop_
_atom_site_label
_atom_site_type_symbol
_atom_site_fract_x
_atom_site_fract_y
_atom_site_fract_z
_atom_site_occupancy
La1 La 0.0000 0.0000 0.0000 1
La2 La 0.0000 0.0000 0.4664 1
Si1 Si 0.0000 0.5000 0.7829 1
Pt1 Pt 0.0000 0.5000 0.0351 1
Pt2 Pt 0.2446 0.2805 0.2385 1
```

Largest 8 diffraction maxima, in order of falling intensity, 2θ = 15–90°:
h k l, Position (°2θ), I/Imax
0 2 2, 33.6, 100
2 0 2, 36.9, 86
2 2 0, 42.1, 63
2 2 4, 58.5, 37
0 0 4, 38.7, 34
0 1 1, 16.6, 25
0 0 2, 19.1, 22
4 2 2, 75.5, 20

Calculated powder XRD pattern of ScAsH for Cu Kα X-rays, from a GGA-PBE-relaxed structure.

Crystal structure
```
data_ScAsH
_cell_length_a 3.8683
_cell_length_b 3.8683
_cell_length_c 20.2867
_cell_angle_alpha 90.00
_cell_angle_beta 90.00
_cell_angle_gamma 120.00
_space_group_name_H-M_alt 'R 3 m'
_space_group_IT_number 160
_space_group_name_Hall 'R 3 -2"'
loop_
_atom_site_label
_atom_site_type_symbol
_atom_site_fract_x
_atom_site_fract_y
_atom_site_fract_z
_atom_site_occupancy
Sc1 Sc 0.0000 0.0000 0.0000 1
Sc2 Sc 0.0000 0.0000 0.1708 1
As1 As 0.0000 0.0000 0.4144 1
As2 As 0.0000 0.0000 0.5895 1
H1 H 0.0000 0.0000 0.8102 1
H2 H 0.0000 0.0000 0.8511 1
```

Largest 8 diffraction maxima, in order of falling intensity, 2θ = 15–90°:
h k l, Position (°2θ), I/Imax
0 1 5, 34.7, 100
1 1 0, 47.0, 53
1 0 7, 41.2, 44
0 1 2, 28.1, 35
1 1 12, 74.6, 23
1 0 1, 27.0, 22
2 0 5, 59.7, 19
1 2 5, 79.3, 17